For Pr3Br, the GGA-PBE geometry in the Materials Project gives the theoretical XRD peak list in this record (copper Kα).
Lines closer than 0.1° are merged.

Crystal structure
```
8
Lattice="7.216 0.000 0.000 -3.608 6.250 0.000 0.000 0.000 5.598" Properties=species:S:1:pos:R:3 pbc="T T T"
Pr 0.000 2.118 1.399
Pr -1.774 5.190 1.399
Pr 1.835 1.059 4.198
Pr 1.774 5.190 1.399
Pr 5.382 1.059 4.198
Pr 3.608 4.131 4.198
Br 0.000 4.166 4.198
Br 3.608 2.083 1.399
```

Peak list (8 most intense, 2θ from 10° to 90°, in order of falling intensity)
Position (°2θ)	I_rel
32.82	100
28.57	24
31.98	24
61.11	22
50.59	20
57.53	20
61.63	16
43.40	16